Entry 1:
Starting from a cell relaxed with PBE, the powder X-ray diffraction pattern of KScS2O8 was computed for Cu Kα X-rays.
Peak positions follow from Bragg's law for the DFT cell and can differ from measured ones.

Structural model:
abc: 5.0412 5.0412 8.6616
angles: 90.00 90.00 120.00
Space group P321 (No. 150)
One atom of each set of equivalent atoms:
K 0.0000 0.0000 0.0000 (multiplicity 1)
Sc 0.0000 0.0000 0.5000 (multiplicity 1)
S 0.3333 0.6667 0.7129 (multiplicity 2)
O 0.0986 0.3604 0.6528 (multiplicity 6)
O 0.3333 0.6667 0.8817 (multiplicity 2)

Largest 12 diffraction maxima, in order of rising 2θ, 2θ from 5° to 70°:
| 2θ (°) | I_rel |
| --- | --- |
| 10.21 | 32 |
| 20.34 | 9 |
| 22.81 | 100 |
| 29.04 | 67 |
| 30.97 | 10 |
| 35.62 | 35 |
| 46.59 | 22 |
| 46.83 | 13 |
| 55.98 | 11 |
| 56.80 | 9 |
| 59.99 | 14 |
| 63.98 | 9 |

Entry 2:
Starting from a cell relaxed with PBE, the powder X-ray diffraction pattern of K2SeS2O6 was computed for Cu Kα X-rays.
Peak positions follow from Bragg's law for the DFT cell and can differ from measured ones.

Structural model:
abc: 9.737 6.050 15.756
angles: 90.00 111.03 90.00
Space group P2_1/c (No. 14)
One atom of each set of equivalent atoms:
K 0.054 0.221 0.180 (multiplicity 4)
K 0.276 0.235 0.968 (multiplicity 4)
Se 0.373 0.669 0.703 (multiplicity 4)
S 0.161 0.710 0.090 (multiplicity 4)
S 0.308 0.740 0.827 (multiplicity 4)
O 0.039 0.728 0.621 (multiplicity 4)
O 0.166 0.665 0.512 (multiplicity 4)
O 0.174 0.030 0.582 (multiplicity 4)
O 0.209 0.557 0.830 (multiplicity 4)
O 0.233 0.544 0.313 (multiplicity 4)
O 0.450 0.735 0.903 (multiplicity 4)

Largest 12 diffraction maxima, in order of rising 2θ, 2θ from 5° to 70°:
| 2θ (°) | I_rel |
| --- | --- |
| 12.04 | 27 |
| 12.47 | 26 |
| 17.61 | 84 |
| 19.28 | 41 |
| 23.31 | 31 |
| 24.01 | 100 |
| 27.03 | 62 |
| 29.53 | 52 |
| 30.41 | 25 |
| 35.89 | 33 |
| 37.49 | 26 |
| 38.04 | 30 |

Entry 3:
Starting from a cell relaxed with PBE, the powder X-ray diffraction pattern of K2SnS6O21 was computed for Cu Kα X-rays.
Peak positions follow from Bragg's law for the DFT cell and can differ from measured ones.

Structural model:
abc: 10.1129 10.1129 11.0667
angles: 90.00 90.00 120.00
Space group P-3 (No. 147)
One atom of each set of equivalent atoms:
K 0.3333 0.6667 0.3647 (multiplicity 2)
K 0.3333 0.6667 0.9400 (multiplicity 2)
Sn 0.0000 0.0000 0.2598 (multiplicity 2)
S 0.0566 0.7215 0.1577 (multiplicity 6)
S 0.1644 0.3557 0.6476 (multiplicity 6)
O 0.0024 0.3366 0.7017 (multiplicity 6)
O 0.0470 0.3910 0.9255 (multiplicity 6)
O 0.0513 0.8685 0.1463 (multiplicity 6)
O 0.0658 0.8764 0.6306 (multiplicity 6)
O 0.1524 0.7186 0.7367 (multiplicity 6)
O 0.1766 0.4241 0.5319 (multiplicity 6)
O 0.2107 0.7500 0.1637 (multiplicity 6)

Largest 12 diffraction maxima, in order of rising 2θ, 2θ from 5° to 70°:
| 2θ (°) | I_rel |
| --- | --- |
| 10.10 | 100 |
| 16.02 | 37 |
| 18.97 | 64 |
| 19.30 | 48 |
| 23.84 | 20 |
| 25.95 | 90 |
| 26.93 | 34 |
| 30.62 | 23 |
| 31.49 | 45 |
| 38.49 | 17 |
| 40.56 | 22 |
| 42.59 | 19 |

Entry 4:
Starting from a cell relaxed with PBE, the powder X-ray diffraction pattern of K2TeSO10 was computed for Cu Kα X-rays.
Peak positions follow from Bragg's law for the DFT cell and can differ from measured ones.

Structural model:
abc: 6.252 6.950 12.677
angles: 79.88 81.83 66.20
Space group P-1 (No. 2)
One atom of each set of equivalent atoms:
K 0.081 0.095 0.146 (multiplicity 2)
K 0.314 0.397 0.361 (multiplicity 2)
Te 0.000 0.000 0.500 (multiplicity 1)
Te 0.500 0.500 0.000 (multiplicity 1)
S 0.251 0.294 0.748 (multiplicity 2)
O 0.085 0.493 0.789 (multiplicity 2)
O 0.085 0.697 0.513 (multiplicity 2)
O 0.112 0.191 0.713 (multiplicity 2)
O 0.161 0.061 0.365 (multiplicity 2)
O 0.211 0.724 0.039 (multiplicity 2)
O 0.283 0.922 0.571 (multiplicity 2)
O 0.295 0.346 0.014 (multiplicity 2)
O 0.405 0.352 0.658 (multiplicity 2)
O 0.411 0.148 0.830 (multiplicity 2)
O 0.472 0.642 0.854 (multiplicity 2)

Largest 12 diffraction maxima, in order of rising 2θ, 2θ from 5° to 70°:
| 2θ (°) | I_rel |
| --- | --- |
| 14.90 | 41 |
| 16.42 | 29 |
| 16.58 | 100 |
| 17.61 | 61 |
| 19.66 | 45 |
| 23.75 | 88 |
| 24.10 | 97 |
| 24.79 | 84 |
| 25.54 | 76 |
| 26.09 | 63 |
| 28.73 | 47 |
| 40.69 | 35 |

Entry 5:
Starting from a cell relaxed with PBE, the powder X-ray diffraction pattern of KTmS2O10 was computed for Cu Kα X-rays.
Peak positions follow from Bragg's law for the DFT cell and can differ from measured ones.

Structural model:
abc: 10.951 8.182 10.045
angles: 90.00 98.73 90.00
Space group P2_1/c (No. 14)
One atom of each set of equivalent atoms:
K 0.134 0.231 0.089 (multiplicity 4)
Tm 0.318 0.736 0.033 (multiplicity 4)
S 0.117 0.727 0.207 (multiplicity 4)
S 0.468 0.148 0.690 (multiplicity 4)
O 0.018 0.214 0.320 (multiplicity 4)
O 0.159 0.725 0.358 (multiplicity 4)
O 0.164 0.621 0.648 (multiplicity 4)
O 0.181 0.589 0.147 (multiplicity 4)
O 0.288 0.027 0.448 (multiplicity 4)
O 0.295 0.011 0.968 (multiplicity 4)
O 0.359 0.230 0.722 (multiplicity 4)
O 0.436 0.518 0.128 (multiplicity 4)
O 0.439 0.617 0.688 (multiplicity 4)
O 0.470 0.745 0.907 (multiplicity 4)

Largest 12 diffraction maxima, in order of rising 2θ, 2θ from 5° to 70°:
| 2θ (°) | I_rel |
| --- | --- |
| 8.17 | 33 |
| 13.57 | 100 |
| 20.79 | 22 |
| 21.47 | 15 |
| 21.72 | 43 |
| 22.39 | 17 |
| 23.49 | 14 |
| 24.92 | 16 |
| 28.33 | 63 |
| 30.36 | 16 |
| 37.56 | 17 |
| 42.43 | 15 |